# 1
Diffraction record for BaPb2Au3. The X-ray diffraction stick pattern is theoretical, not measured: it uses a structure optimized by DFT (GGA-PBE) and Cu Kα, 1.54184 Å.

Crystal structure
abc: 10.792 9.189 6.892
angles: 90.00 90.00 90.00
Space group Cmcm (No. 63)
One atom of each set of equivalent atoms:
Ba (0.000, 0.188, 0.250) [4 per cell]
Pb (0.208, 0.500, 0.000) [8 per cell]
Au (0.000, 0.428, 0.750) [4 per cell]
Au (0.136, 0.173, 0.750) [8 per cell]

Principal peaks in the range 2θ from 15° to 90°, in order of rising 2θ:
2θ 18.07, rel. 66; 2θ 28.62, rel. 52; 2θ 29.65, rel. 60; 2θ 30.33, rel. 73; 2θ 30.79, rel. 100; 2θ 32.48, rel. 80; 2θ 36.60, rel. 55; 2θ 37.44, rel. 99; 2θ 38.65, rel. 57; 2θ 40.92, rel. 94; 2θ 43.05, rel. 38; 2θ 56.26, rel. 42

=====

# 2
Diffraction record for Ba2PbAu3. The X-ray diffraction stick pattern is theoretical, not measured: it uses a structure optimized by DFT (GGA-PBE) and Cu Kα, 1.54184 Å.

Crystal structure
abc: 9.064 9.840 17.057
angles: 90.00 90.00 90.00
Space group Fmmm (No. 69)
One atom of each set of equivalent atoms:
Ba (0.237, 0.000, 0.000) [8 per cell]
Ba (0.250, 0.250, 0.250) [8 per cell]
Pb (0.000, 0.000, 0.335) [8 per cell]
Au (0.000, 0.000, 0.165) [8 per cell]
Au (0.000, 0.247, 0.082) [16 per cell]

Principal peaks in the range 2θ from 15° to 90°, in order of rising 2θ:
2θ 19.59, rel. 27; 2θ 28.75, rel. 100; 2θ 36.51, rel. 69; 2θ 39.78, rel. 18; 2θ 41.77, rel. 25; 2θ 47.12, rel. 26; 2θ 55.09, rel. 42; 2θ 61.04, rel. 24; 2θ 65.56, rel. 9; 2θ 65.72, rel. 13; 2θ 79.64, rel. 15; 2θ 84.74, rel. 10

=====

# 3
Diffraction record for Ba3PbAu4. The X-ray diffraction stick pattern is theoretical, not measured: it uses a structure optimized by DFT (GGA-PBE) and Cu Kα, 1.54184 Å.

Crystal structure
abc: 4.671 7.272 16.454
angles: 90.00 90.00 90.00
Space group Immm (No. 71)
One atom of each set of equivalent atoms:
Ba (0.000, 0.000, 0.000) [2 per cell]
Ba (0.000, 0.500, 0.186) [4 per cell]
Pb (0.000, 0.000, 0.500) [2 per cell]
Au (0.000, 0.306, 0.375) [8 per cell]

Principal peaks in the range 2θ from 15° to 90°, in order of rising 2θ:
2θ 19.76, rel. 81; 2θ 25.10, rel. 100; 2θ 29.80, rel. 28; 2θ 31.48, rel. 73; 2θ 31.65, rel. 39; 2θ 32.88, rel. 74; 2θ 33.30, rel. 44; 2θ 35.30, rel. 77; 2θ 37.50, rel. 27; 2θ 38.55, rel. 54; 2θ 51.54, rel. 44; 2θ 62.47, rel. 46

=====

Question: What is the formula in the first record?
Answer: BaPb2Au3